Record 1
Structure and theoretical X-ray powder pattern of AcHoMgGa (the PBE geometry in Alexandria; Cu Kα, 1.54184 Å).
Kinematic intensities with the Lorentz-polarization factor, no thermal factor.

Peak list (10 most intense, 2θ = 10–90°, by angle)
- d 3.841, rel. 41
- d 2.716, rel. 100
- d 2.217, rel. 13
- d 1.920, rel. 18
- d 1.718, rel. 18
- d 1.568, rel. 38
- d 1.358, rel. 12
- d 1.280, rel. 9
- d 1.214, rel. 17
- d 1.158, rel. 5

abc: 7.6811 7.6811 7.6811
angles: 90.00 90.00 90.00
Fractional coordinates of all 16 atoms:
Ac (0.0000, 0.0000, 0.0000)
Ac (0.0000, 0.5000, 0.5000)
Ac (0.5000, 0.0000, 0.5000)
Ac (0.5000, 0.5000, 0.0000)
Ho (0.0000, 0.0000, 0.5000)
Ho (0.0000, 0.5000, 0.0000)
Ho (0.5000, 0.0000, 0.0000)
Ho (0.5000, 0.5000, 0.5000)
Mg (0.2500, 0.2500, 0.7500)
Mg (0.2500, 0.7500, 0.2500)
Mg (0.7500, 0.2500, 0.2500)
Mg (0.7500, 0.7500, 0.7500)
Ga (0.2500, 0.2500, 0.2500)
Ga (0.2500, 0.7500, 0.7500)
Ga (0.7500, 0.2500, 0.7500)
Ga (0.7500, 0.7500, 0.2500)

***

Record 2
Structure and theoretical X-ray powder pattern of Sr2Li16Tl (the PBE geometry in Alexandria; Cu Kα, 1.54184 Å).
Kinematic intensities with the Lorentz-polarization factor, no thermal factor.

Peak list (10 most intense, 2θ = 10–90°, by angle)
- d 7.623, rel. 35
- d 5.677, rel. 35
- d 5.143, rel. 100
- d 3.552, rel. 30
- d 3.403, rel. 29
- d 2.969, rel. 32
- d 2.838, rel. 22
- d 2.572, rel. 25
- d 2.485, rel. 27
- d 2.051, rel. 20

abc: 7.7060 7.7060 7.7060
angles: 83.74 83.74 83.74
Fractional coordinates of all 19 atoms:
Sr (0.0000, 0.0000, 0.0000)
Sr (0.3072, 0.3072, 0.3072)
Li (0.1457, 0.6597, 0.6597)
Li (0.3074, 0.3074, 0.7961)
Li (0.3074, 0.7961, 0.3074)
Li (0.3761, 0.6558, 0.9358)
Li (0.3761, 0.9358, 0.6558)
Li (0.5200, 0.9991, 0.9991)
Li (0.5574, 0.5574, 0.5574)
Li (0.6558, 0.3761, 0.9358)
Li (0.6558, 0.9358, 0.3761)
Li (0.6597, 0.1457, 0.6597)
Li (0.6597, 0.6597, 0.1457)
Li (0.7961, 0.3074, 0.3074)
Li (0.9358, 0.3761, 0.6558)
Li (0.9358, 0.6558, 0.3761)
Li (0.9991, 0.5200, 0.9991)
Li (0.9991, 0.9991, 0.5200)
Tl (0.7544, 0.7544, 0.7544)